No. 1
The following is a calculated X-ray powder pattern of Li4Al2ZnIn. It was derived from a structure optimized by DFT (PBE), using Cu Kα, 1.54184 Å.
Lines closer than 0.1° are merged.

Crystal structure
```
data_Li4Al2ZnIn
_symmetry_space_group_name_H-M 'P -4 m 2'
_symmetry_Int_Tables_number 115
_cell_length_a 4.474
_cell_length_b 4.474
_cell_length_c 6.353
_cell_angle_alpha 90.00
_cell_angle_beta 90.00
_cell_angle_gamma 90.00
loop_
_symmetry_equiv_pos_as_xyz
'x,y,z'
'y,-x,-z'
'-x,-y,z'
'-y,x,-z'
'-x,y,z'
'-y,-x,-z'
'x,-y,z'
'y,x,-z'
loop_
_atom_site_label
_atom_site_type_symbol
_atom_site_fract_x
_atom_site_fract_y
_atom_site_fract_z
Li1 Li 0.000 0.000 0.000
Li2 Li 0.000 0.500 0.734
Li3 Li 0.500 0.500 0.500
Al1 Al 0.000 0.500 0.268
Zn1 Zn 0.000 0.000 0.500
In1 In 0.500 0.500 0.000
```

Largest 6 diffraction maxima, sorted by position, 10 to 80 degrees two-theta:
2θ/deg	I/Imax	index
24.33	100	1 0 1
28.21	18	1 1 0
40.26	80	2 0 0
47.50	16	1 0 3
47.65	32	2 1 1
73.24	17	3 1 2

No. 2
The following is a calculated X-ray powder pattern of Ba2Co3Si7. It was derived from a structure optimized by DFT (PBE), using Cu Kα, 1.54184 Å.
Lines closer than 0.1° are merged.

Crystal structure
```
data_Ba2Co3Si7
_symmetry_space_group_name_H-M 'P -6 2 m'
_symmetry_Int_Tables_number 189
_symmetry_space_group_name_Hall 'P -6 -2'
_cell_length_a 8.9958
_cell_length_b 8.9958
_cell_length_c 3.6965
_cell_angle_alpha 90.00
_cell_angle_beta 90.00
_cell_angle_gamma 120.00
loop_
_atom_site_label
_atom_site_type_symbol
_atom_site_fract_x
_atom_site_fract_y
_atom_site_fract_z
Ba1 Ba 0.3333 0.6667 0.0000
Co1 Co 0.0000 0.1654 0.5000
Si1 Si 0.0000 0.0000 0.0000
Si2 Si 0.0000 0.5992 0.5000
Si3 Si 0.0000 0.7511 0.0000
```

Largest 6 diffraction maxima, sorted by position, 10 to 80 degrees two-theta:
2θ/deg	I/Imax	index
19.74	100	1 1 0
26.69	44	1 0 1
30.36	46	2 1 0
31.32	67	1 1 1
39.11	43	2 1 1
47.31	47	2 2 1

No. 3
The following is a calculated X-ray powder pattern of NdGd2Zn3AgAu2. It was derived from a structure optimized by DFT (PBE), using Cu Kα, 1.54184 Å.
Lines closer than 0.1° are merged.

Crystal structure
```
data_NdGd2Zn3AgAu2
_symmetry_space_group_name_H-M 'A m m 2'
_symmetry_Int_Tables_number 38
_cell_length_a 3.884
_cell_length_b 13.262
_cell_length_c 7.614
_cell_angle_alpha 90.00
_cell_angle_beta 90.00
_cell_angle_gamma 90.00
loop_
_symmetry_equiv_pos_as_xyz
'x,y,z'
'-x,-y,z'
'-x,y,z'
'x,-y,z'
'x,y+1/2,z+1/2'
'-x,-y+1/2,z+1/2'
'-x,y+1/2,z+1/2'
'x,-y+1/2,z+1/2'
loop_
_atom_site_label
_atom_site_type_symbol
_atom_site_fract_x
_atom_site_fract_y
_atom_site_fract_z
Nd1 Nd 0.000 0.000 0.000
Gd1 Gd 0.000 0.203 0.391
Zn1 Zn 0.500 0.000 0.338
Zn2 Zn 0.500 0.130 0.721
Ag1 Ag 0.000 0.000 0.591
Au1 Au 0.500 0.170 0.095
```

Largest 6 diffraction maxima, sorted by position, 10 to 80 degrees two-theta:
2θ/deg	I/Imax	index
32.90	100	1 0 2
35.66	92	1 2 2
35.88	22	0 5 1
41.01	33	0 3 3
42.99	21	1 5 1
46.78	23	2 0 0